[1]
For CaPr4Y, the PBE geometry in Alexandria gives the calculated powder diffraction line list in this record (Cu Kα (λ = 1.5418 Å)).
Kinematic intensities with the Lorentz-polarization factor, no thermal factor.

Crystal structure
Unit cell a=3.619 b=6.700 c=18.150 alpha=90.00 beta=90.00 gamma=90.00
Space group Imm2 (No. 44)
One atom of each set of equivalent atoms:
Ca 0.000 0.000 0.000 x2
Pr 0.000 0.000 0.511 x2
Pr 0.000 0.239 0.335 x4
Pr 0.000 0.500 0.171 x2
Y 0.000 0.500 0.681 x2

Most intense lines, 2θ = 15–90°, by angle:
- 3.549 Å, 2θ = 25.09°, I 694, hkl 1 0 1
- 3.143 Å, 2θ = 28.40°, I 1000, hkl 0 2 2
- 3.025 Å, 2θ = 29.53°, I 896, hkl 0 0 6
- 3.004 Å, 2θ = 29.74°, I 971, hkl 1 1 2
- 2.695 Å, 2θ = 33.24°, I 666, hkl 0 2 4
- 2.606 Å, 2θ = 34.41°, I 670, hkl 1 1 4
- 2.563 Å, 2θ = 35.01°, I 419, hkl 1 0 5
- 2.277 Å, 2θ = 39.57°, I 644, hkl 1 2 3

***

[2]
For LaZn4Ag2, the PBE geometry in Alexandria gives the calculated powder diffraction line list in this record (Cu Kα (λ = 1.5418 Å)).
Kinematic intensities with the Lorentz-polarization factor, no thermal factor.

Crystal structure
Unit cell a=8.736 b=6.908 c=5.471 alpha=90.00 beta=127.88 gamma=90.00
Space group C2/m (No. 12)
One atom of each set of equivalent atoms:
La 0.000 0.000 0.000 x2
Zn 0.188 0.188 0.686 x8
Ag 0.003 0.500 0.753 x4

Most intense lines, 2θ = 15–90°, by angle:
- 3.451 Å, 2θ = 25.82°, I 252, hkl 0 2 0
- 2.700 Å, 2θ = 33.18°, I 470, hkl 0 2 1
- 2.671 Å, 2θ = 33.55°, I 255, hkl 3 1 -1
- 2.440 Å, 2θ = 36.83°, I 1000, hkl 2 2 0
- 2.397 Å, 2θ = 37.52°, I 612, hkl 1 1 -2
- 2.375 Å, 2θ = 37.89°, I 579, hkl 3 1 -2
- 2.129 Å, 2θ = 42.45°, I 340, hkl 2 0 1
- 2.122 Å, 2θ = 42.60°, I 415, hkl 1 3 -1

***

[3]
For RbAl2CdCl8, the PBE geometry in Alexandria gives the calculated powder diffraction line list in this record (Cu Kα (λ = 1.5418 Å)).
Kinematic intensities with the Lorentz-polarization factor, no thermal factor.

Crystal structure
Unit cell a=6.7089 b=6.7089 c=29.0055 alpha=90.00 beta=90.00 gamma=120.00
Space group R-3 (No. 148, hexagonal axes)
One atom of each set of equivalent atoms:
Rb 0.0000 0.0000 0.0000 x3
Al 0.0000 0.0000 0.2534 x6
Cd 0.0000 0.0000 0.5000 x3
Cl 0.0000 0.0000 0.3277 x6
Cl 0.0122 0.3788 0.4370 x18

Most intense lines, 2θ = 15–90°, by angle:
- 4.534 Å, 2θ = 19.58°, I 1000, hkl 1 0 4
- 3.354 Å, 2θ = 26.57°, I 422, hkl 1 1 0
- 3.169 Å, 2θ = 28.16°, I 503, hkl 2 -1 3
- 3.076 Å, 2θ = 29.03°, I 354, hkl 0 1 8
- 2.756 Å, 2θ = 32.49°, I 974, hkl 1 1 6
- 2.102 Å, 2θ = 43.04°, I 230, hkl 3 -1 4
- 1.961 Å, 2θ = 46.30°, I 439, hkl 2 -1 12
- 1.937 Å, 2θ = 46.91°, I 408, hkl 3 0 0

***

[4]
For LiPdN, the PBE geometry in Alexandria gives the calculated powder diffraction line list in this record (Cu Kα (λ = 1.5418 Å)).
Kinematic intensities with the Lorentz-polarization factor, no thermal factor.

Crystal structure
Unit cell a=2.8012 b=2.8012 c=31.9614 alpha=90.00 beta=90.00 gamma=120.00
Space group R3m (No. 160, hexagonal axes)
One atom of each set of equivalent atoms:
Li 0.0000 0.0000 0.0000 x3
Li 0.0000 0.0000 0.1249 x3
Pd 0.0000 0.0000 0.2659 x3
Pd 0.0000 0.0000 0.5254 x3
N 0.0000 0.0000 0.7107 x3
N 0.0000 0.0000 0.7473 x3

Most intense lines, 2θ = 15–90°, by angle:
- 3.551 Å, 2θ = 25.08°, I 263, hkl 0 0 9
- 2.663 Å, 2θ = 33.65°, I 374, hkl 0 0 12
- 2.419 Å, 2θ = 37.17°, I 376, hkl 1 0 1
- 2.321 Å, 2θ = 38.79°, I 1000, hkl 1 0 4
- 2.268 Å, 2θ = 39.74°, I 350, hkl 0 1 5
- 2.142 Å, 2θ = 42.18°, I 486, hkl 1 0 7
- 2.074 Å, 2θ = 43.65°, I 602, hkl 0 1 8
- 1.862 Å, 2θ = 48.91°, I 377, hkl 0 1 11

***

[5]
For CuPtAu2, the PBE geometry in Alexandria gives the calculated powder diffraction line list in this record (Cu Kα (λ = 1.5418 Å)).
Kinematic intensities with the Lorentz-polarization factor, no thermal factor.

Crystal structure
Unit cell a=4.4058 b=4.4058 c=8.2640 alpha=90.00 beta=90.00 gamma=120.00
Space group P6_3/mmc (No. 194)
One atom of each set of equivalent atoms:
Cu 0.0000 0.0000 0.2500 x2
Pt 0.3333 0.6667 0.2500 x2
Au 0.3333 0.6667 0.5830 x4

Most intense lines, 2θ = 15–90°, by angle:
- 3.815 Å, 2θ = 23.31°, I 392, hkl 1 0 0
- 2.233 Å, 2θ = 40.38°, I 1000, hkl 1 0 3
- 2.203 Å, 2θ = 40.97°, I 799, hkl 1 1 0
- 1.568 Å, 2θ = 58.88°, I 335, hkl 2 0 3
- 1.278 Å, 2θ = 74.23°, I 344, hkl 2 1 3
- 1.272 Å, 2θ = 74.62°, I 139, hkl 3 0 0
- 1.168 Å, 2θ = 82.62°, I 215, hkl 1 1 6
- 1.101 Å, 2θ = 88.84°, I 93, hkl 2 2 0

***

[6]
For Ba2AgO, the PBE geometry in Alexandria gives the calculated powder diffraction line list in this record (Cu Kα (λ = 1.5418 Å)).
Kinematic intensities with the Lorentz-polarization factor, no thermal factor.

Crystal structure
Unit cell a=9.747 b=7.156 c=7.425 alpha=90.00 beta=100.81 gamma=90.00
Space group P2_1/c (No. 14)
One atom of each set of equivalent atoms:
Ba 0.052 0.248 0.023 x4
Ba 0.337 0.595 0.320 x4
Ag 0.377 0.089 0.393 x4
O 0.078 0.537 0.263 x4

Most intense lines, 2θ = 15–90°, by angle:
- 3.352 Å, 2θ = 26.60°, I 242, hkl 1 2 0
- 3.209 Å, 2θ = 27.80°, I 1000, hkl 2 0 -2
- 3.191 Å, 2θ = 27.96°, I 293, hkl 3 0 0
- 2.972 Å, 2θ = 30.07°, I 231, hkl 1 2 1
- 2.776 Å, 2θ = 32.25°, I 148, hkl 2 2 -1
- 2.553 Å, 2θ = 35.16°, I 163, hkl 1 2 -2
- 2.364 Å, 2θ = 38.07°, I 147, hkl 3 2 -1
- 2.137 Å, 2θ = 42.29°, I 135, hkl 3 2 -2

***

[7]
For Pm4Pr8Er3, the PBE geometry in Alexandria gives the calculated powder diffraction line list in this record (Cu Kα (λ = 1.5418 Å)).
Kinematic intensities with the Lorentz-polarization factor, no thermal factor.

Crystal structure
Unit cell a=7.0995 b=7.0995 c=36.2821 alpha=90.00 beta=90.00 gamma=120.00
Space group R-3m (No. 166, hexagonal axes)
One atom of each set of equivalent atoms:
Pm 0.0000 0.0000 0.0000 x3
Pm 0.0000 0.0000 0.1640 x6
Pm 0.0000 0.0000 0.5000 x3
Pr 0.0000 0.0000 0.2545 x6
Pr 0.0018 0.5009 0.2513 x18
Er 0.0000 0.5000 0.0000 x9

Most intense lines, 2θ = 15–90°, by angle:
- 3.406 Å, 2θ = 26.16°, I 190, hkl 1 1 3
- 3.062 Å, 2θ = 29.16°, I 281, hkl 0 2 1
- 3.024 Å, 2θ = 29.53°, I 657, hkl 0 0 12
- 2.911 Å, 2θ = 30.71°, I 1000, hkl 0 2 4
- 2.545 Å, 2θ = 35.27°, I 728, hkl 2 0 8
- 1.825 Å, 2θ = 49.97°, I 281, hkl 0 2 16
- 1.775 Å, 2θ = 51.49°, I 375, hkl 2 2 0
- 1.531 Å, 2θ = 60.48°, I 462, hkl 2 2 12